(1)
Starting from a DFT-relaxed cell (GGA-PBE, the Materials Project), the powder diffraction line list of TeMoWS3 was simulated for CuKα.
Kinematic intensities with the Lorentz-polarization factor, no thermal factor.

Main lines, by angle (10° ≤ 2θ ≤ 90°):
2θ = 11.9°, I = 100, hkl 0 0 5
2θ = 14.3°, I = 23, hkl 0 0 6
2θ = 31.6°, I = 36, hkl 1 0 0
2θ = 33.8°, I = 14, hkl 1 0 5
2θ = 37.1°, I = 73, hkl 1 0 8
2θ = 38.5°, I = 12, hkl 0 1 9
2θ = 40.0°, I = 12, hkl 1 0 10
2θ = 45.0°, I = 34, hkl 0 1 13
2θ = 46.9°, I = 12, hkl 1 0 14
2θ = 56.2°, I = 24, hkl 1 1 0

```
TeMoWS3
1.0
3.2752 0.0000 0.0000
-1.6376 2.8364 0.0000
0.0000 0.0000 37.2011
Te Mo W S
2 2 2 6
direct
0.0000 0.0000 0.0000
0.0000 0.0000 0.1042
0.0000 0.0000 0.4884
0.3333 0.6667 0.6763
0.0000 0.0000 0.8641
0.3333 0.6667 0.0521
0.0000 0.0000 0.6350
0.0000 0.0000 0.7177
0.3333 0.6667 0.4471
0.3333 0.6667 0.5298
0.3333 0.6667 0.8226
0.3333 0.6667 0.9056
```



(2)
Starting from a DFT-relaxed cell (GGA-PBE, the Materials Project), the powder diffraction line list of TiMoS3 was simulated for CuKα.
Kinematic intensities with the Lorentz-polarization factor, no thermal factor.

Main lines, by angle (10° ≤ 2θ ≤ 90°):
2θ = 14.9°, I = 50, hkl 1 0 0
2θ = 15.8°, I = 100, hkl 1 0 -1
2θ = 29.2°, I = 26, hkl 0 1 1
2θ = 34.7°, I = 38, hkl 0 1 2
2θ = 35.5°, I = 34, hkl 1 1 -2
2θ = 37.8°, I = 26, hkl 2 0 -3
2θ = 40.2°, I = 42, hkl 1 1 2
2θ = 41.5°, I = 47, hkl 2 0 2
2θ = 42.0°, I = 65, hkl 1 1 -3
2θ = 52.6°, I = 49, hkl 3 1 -1

```
TiMoS3
1.0
6.1572 0.0000 0.0000
0.0000 3.2769 0.0000
-2.2998 0.0000 8.4405
Ti Mo S
2 2 6
direct
0.2365 0.2500 0.4943
0.7635 0.7500 0.5057
0.3819 0.2500 0.8750
0.6181 0.7500 0.1250
0.0039 0.7500 0.3225
0.2246 0.7500 0.0127
0.4791 0.7500 0.6702
0.5209 0.2500 0.3298
0.7754 0.2500 0.9873
0.9961 0.2500 0.6775
```